For Nd3Tm2ScS6, a DFT-relaxed cell (GGA-PBE, Alexandria) gives the calculated powder diffractogram in this record (Cu Ka).

Structural model:
```
data_Nd3Tm2ScS6
_chemical_formula_sum 'Nd3 Tm2 Sc1 S6'
_symmetry_space_group_name_H-M 'P 1'
_symmetry_Int_Tables_number 1
_symmetry_space_group_name_Hall 'P 1'
_cell_length_a 6.735
_cell_length_b 6.735
_cell_length_c 6.961
_cell_angle_alpha 99.29
_cell_angle_beta 99.29
_cell_angle_gamma 120.16
loop_
_atom_site_label
_atom_site_type_symbol
_atom_site_fract_x
_atom_site_fract_y
_atom_site_fract_z
Nd1 Nd 0.000 0.000 0.000
Nd2 Nd 0.332 0.668 0.000
Nd3 Nd 0.668 0.332 0.000
Tm1 Tm 0.166 0.834 0.500
Tm2 Tm 0.834 0.166 0.500
Sc1 Sc 0.500 0.500 0.500
S1 S 0.098 0.426 0.276
S2 S 0.248 0.248 0.726
S3 S 0.426 0.098 0.276
S4 S 0.574 0.902 0.724
S5 S 0.752 0.752 0.274
S6 S 0.902 0.574 0.724
```

Principal peaks in the range 10° ≤ 2θ ≤ 90°, sorted by position:
27.1°, 3.293 Å, I 19
28.0°, 3.185 Å, I 52
32.2°, 2.781 Å, I 100
45.5°, 1.993 Å, I 24
45.6°, 1.988 Å, I 12
46.7°, 1.946 Å, I 12
46.8°, 1.941 Å, I 23
54.9°, 1.672 Å, I 12
57.8°, 1.594 Å, I 12
67.3°, 1.390 Å, I 11
75.7°, 1.257 Å, I 10
77.6°, 1.231 Å, I 10